(1)
Structure and simulated powder XRD pattern of Pm8Sm5Sn (a cell relaxed with PBE; a wavelength of 1.5418 Å).
Peak positions follow from Bragg's law for the DFT cell and can differ from measured ones.

Main lines, sorted by position (2θ from 5° to 70°):
2theta	d [Å]	I (rel.)
28.5	3.133	100
28.8	3.095	45
33.9	2.647	35
34.0	2.639	34
34.2	2.625	53
44.9	2.019	14
54.1	1.694	17
57.3	1.607	12
58.9	1.568	15
64.5	1.445	11

```
data_Pm8Sm5Sn
_chemical_formula_sum 'Pm8 Sm5 Sn1'
_space_group_name_H-M_alt 'P 1'
_space_group_IT_number 1
_cell_length_a 8.546
_cell_length_b 8.546
_cell_length_c 8.546
_cell_angle_alpha 109.08
_cell_angle_beta 109.08
_cell_angle_gamma 110.25
loop_
_space_group_symop_operation_xyz
'x,y,z'
loop_
_atom_site_label
_atom_site_fract_x
_atom_site_fract_y
_atom_site_fract_z
Pm1 0.103 0.378 0.599
Pm2 0.143 0.433 0.104
Pm3 0.329 0.039 0.896
Pm4 0.496 0.897 0.276
Pm5 0.567 0.671 0.710
Pm6 0.622 0.220 0.724
Pm7 0.780 0.504 0.401
Pm8 0.961 0.857 0.290
Sm1 0.310 0.203 0.310
Sm2 0.500 0.500 0.000
Sm3 0.797 0.106 0.107
Sm4 0.894 0.001 0.690
Sm5 0.999 0.690 0.893
Sn1 0.250 0.750 0.500
```

***

(2)
Structure and simulated powder XRD pattern of Pr3Tl4In2 (a cell relaxed with PBE; a wavelength of 1.5418 Å).
Peak positions follow from Bragg's law for the DFT cell and can differ from measured ones.

Main lines, sorted by position (2θ from 5° to 70°):
2theta	d [Å]	I (rel.)
12.5	7.089	13
29.3	3.051	100
31.9	2.802	68
33.4	2.679	32
38.1	2.363	47
39.0	2.312	36
39.4	2.288	28
52.6	1.740	18
55.9	1.644	31
60.4	1.532	34

```
data_Pr3Tl4In2
_chemical_formula_sum 'Pr3 Tl4 In2'
_space_group_name_H-M_alt 'P 1'
_space_group_IT_number 1
_cell_length_a 8.186
_cell_length_b 8.186
_cell_length_c 4.576
_cell_angle_alpha 90.00
_cell_angle_beta 90.00
_cell_angle_gamma 120.00
loop_
_space_group_symop_operation_xyz
'x,y,z'
loop_
_atom_site_label
_atom_site_fract_x
_atom_site_fract_y
_atom_site_fract_z
Pr1 0.000 0.608 0.000
Pr2 0.392 0.392 0.000
Pr3 0.608 0.000 0.000
Tl1 0.000 0.000 0.000
Tl2 0.000 0.270 0.500
Tl3 0.270 0.000 0.500
Tl4 0.730 0.730 0.500
In1 0.333 0.667 0.500
In2 0.667 0.333 0.500
```

***

(3)
Structure and simulated powder XRD pattern of NbTl3Pd (a cell relaxed with PBE; a wavelength of 1.5418 Å).
Peak positions follow from Bragg's law for the DFT cell and can differ from measured ones.

Main lines, sorted by position (2θ from 5° to 70°):
2theta	d [Å]	I (rel.)
16.3	5.432	26
28.5	3.136	100
33.0	2.716	89
37.0	2.429	14
47.3	1.921	65
50.4	1.811	7
56.2	1.638	46
58.9	1.568	23
61.6	1.507	3
69.2	1.358	11

```
data_NbTl3Pd
_chemical_formula_sum 'Nb1 Tl3 Pd1'
_space_group_name_H-M_alt 'P 1'
_space_group_IT_number 1
_cell_length_a 5.432
_cell_length_b 5.432
_cell_length_c 5.432
_cell_angle_alpha 90.00
_cell_angle_beta 90.00
_cell_angle_gamma 90.00
loop_
_space_group_symop_operation_xyz
'x,y,z'
loop_
_atom_site_label
_atom_site_fract_x
_atom_site_fract_y
_atom_site_fract_z
Nb1 0.000 0.000 0.000
Tl1 0.000 0.000 0.500
Tl2 0.000 0.500 0.000
Tl3 0.500 0.000 0.000
Pd1 0.500 0.500 0.500
```